Diffraction record for K2Cd3S3O16. The PXRD pattern is computed, not measured: it uses a cell relaxed with GGA-PBE and Cu Kα (weighted mean of Kα1 and Kα2).
Neutral-atom scattering factors, no anomalous dispersion.

```
K2Cd3S3O16
1.0
9.5223 -4.1467 0.0000
9.5223 4.1467 0.0000
0.0000 0.0000 9.6826
K Cd S O
4 6 6 32
direct
0.1471 0.2364 0.0000
0.2364 0.1471 0.5000
0.7636 0.8529 0.0000
0.8529 0.7636 0.5000
0.1847 0.8153 0.2223
0.3840 0.4394 0.9372
0.4394 0.3840 0.4372
0.5606 0.6160 0.9372
0.6160 0.5606 0.4372
0.8153 0.1847 0.7223
0.1150 0.5270 0.2178
0.1887 0.8113 0.5654
0.4730 0.8850 0.2178
0.5270 0.1150 0.7178
0.8113 0.1887 0.0654
0.8850 0.4730 0.7178
0.0263 0.4710 0.6891
0.0388 0.7115 0.2130
0.0800 0.9200 0.4427
0.0879 0.9121 0.6921
0.1016 0.6212 0.8510
0.1896 0.4500 0.3584
0.2258 0.6449 0.5670
0.2582 0.4146 0.1132
0.2885 0.9612 0.2130
0.3232 0.6768 0.0229
0.3551 0.7742 0.5670
0.3788 0.8984 0.8510
0.4146 0.2582 0.6132
0.4380 0.5620 0.3068
0.4500 0.1896 0.8584
0.4710 0.0263 0.1891
0.5290 0.9737 0.6891
0.5500 0.8104 0.3584
0.5620 0.4380 0.8068
0.5854 0.7418 0.1132
0.6212 0.1016 0.3510
0.6449 0.2258 0.0670
0.6768 0.3232 0.5229
0.7115 0.0388 0.7130
0.7418 0.5854 0.6132
0.7742 0.3551 0.0670
0.8104 0.5500 0.8584
0.8984 0.3788 0.3510
0.9121 0.0879 0.1921
0.9200 0.0800 0.9427
0.9612 0.2885 0.7130
0.9737 0.5290 0.1891
```

Most intense lines, 15° ≤ 2θ ≤ 90°, by angle:
4.084 Å, 21.76 deg, intensity 100
3.461 Å, 25.74 deg, intensity 63
3.395 Å, 26.25 deg, intensity 35
3.259 Å, 27.36 deg, intensity 43
3.149 Å, 28.34 deg, intensity 97
2.971 Å, 30.08 deg, intensity 48
2.816 Å, 31.78 deg, intensity 53
2.654 Å, 33.77 deg, intensity 34
2.030 Å, 44.64 deg, intensity 37
1.984 Å, 45.72 deg, intensity 36

Diffraction record for NaB6H8S3O7. The PXRD pattern is computed, not measured: it uses a cell relaxed with GGA-PBE and Cu Kα (weighted mean of Kα1 and Kα2).
Neutral-atom scattering factors, no anomalous dispersion.

```
NaB6H8S3O7
1.0
8.6519 0.0000 0.0000
-0.6891 9.0138 0.0000
-2.3497 -0.9885 8.7418
Na B H S O
2 12 16 6 14
direct
0.1165 0.0537 0.3621
0.8835 0.9463 0.6379
0.3222 0.3964 0.9807
0.3415 0.5956 0.0056
0.3579 0.4995 0.8321
0.4336 0.4961 0.1591
0.4616 0.3401 0.8779
0.4916 0.6614 0.9195
0.5084 0.3386 0.0805
0.5384 0.6599 0.1221
0.5664 0.5039 0.8409
0.6421 0.5005 0.1679
0.6585 0.4044 0.9944
0.6778 0.6036 0.0193
0.0186 0.2436 0.5931
0.1664 0.1727 0.6830
0.1966 0.3229 0.9677
0.2273 0.6636 0.0095
0.2579 0.4985 0.7131
0.3877 0.4926 0.2736
0.4352 0.2272 0.7905
0.4838 0.7771 0.8617
0.5162 0.2229 0.1383
0.5648 0.7728 0.2095
0.6123 0.5074 0.7264
0.7421 0.5015 0.2869
0.7727 0.3364 0.9905
0.8034 0.6771 0.0323
0.8336 0.8273 0.3170
0.9814 0.7564 0.4069
0.0640 0.4448 0.2365
0.2774 0.9624 0.0162
0.4373 0.7528 0.5353
0.5627 0.2472 0.4647
0.7226 0.0376 0.9838
0.9360 0.5552 0.7635
0.0653 0.2951 0.2829
0.0679 0.1496 0.5998
0.0823 0.5661 0.3570
0.1780 0.9718 0.8633
0.2019 0.9843 0.1406
0.3175 0.8575 0.4989
0.3958 0.1896 0.4389
0.6042 0.8104 0.5611
0.6825 0.1425 0.5011
0.7981 0.0157 0.8594
0.8220 0.0282 0.1367
0.9177 0.4339 0.6430
0.9321 0.8504 0.4002
0.9347 0.7049 0.7171
```

Most intense lines, 15° ≤ 2θ ≤ 90°, by angle:
4.378 Å, 20.28 deg, intensity 100
4.181 Å, 21.25 deg, intensity 37
4.028 Å, 22.07 deg, intensity 43
3.890 Å, 22.86 deg, intensity 72
3.816 Å, 23.31 deg, intensity 48
3.783 Å, 23.52 deg, intensity 38
3.689 Å, 24.12 deg, intensity 56
3.631 Å, 24.52 deg, intensity 66
3.509 Å, 25.38 deg, intensity 41
3.418 Å, 26.07 deg, intensity 54

Diffraction record for CeSbTe. The PXRD pattern is computed, not measured: it uses a cell relaxed with GGA-PBE and Cu Kα (weighted mean of Kα1 and Kα2).
Neutral-atom scattering factors, no anomalous dispersion.

```
CeSbTe
1.0
4.3796 0.0000 0.0000
0.0000 4.3796 0.0000
0.0000 0.0000 9.2932
Ce Sb Te
2 2 2
direct
0.2500 0.2500 0.2273
0.7500 0.7500 0.7727
0.2500 0.7500 0.5000
0.7500 0.2500 0.5000
0.2500 0.2500 0.8683
0.7500 0.7500 0.1317
```

Most intense lines, 15° ≤ 2θ ≤ 90°, by angle:
3.097 Å, 28.82 deg, intensity 67
2.938 Å, 30.42 deg, intensity 100
2.577 Å, 34.81 deg, intensity 97
2.529 Å, 35.50 deg, intensity 54
2.190 Å, 41.23 deg, intensity 65
1.788 Å, 51.08 deg, intensity 35
1.655 Å, 55.51 deg, intensity 29
1.548 Å, 59.72 deg, intensity 21
1.385 Å, 67.64 deg, intensity 25
1.327 Å, 71.02 deg, intensity 25